No. 1
Structure and calculated powder diffraction line list of AsPdPt3 (a crystal structure in Alexandria, relaxed with GGA-PBE; Cu Kα, 1.54184 Å).
No peak broadening, texture or thermal motion is included.

Cell and atoms:
Lattice parameters (Å, degrees): 3.8939 5.7344 7.4669 91.45 104.94 90.14
Sites, in units of the cell vectors:
As1 0.1267 0.3663 0.2549
As2 0.8733 0.6337 0.7451
Pd1 0.0939 0.9282 0.1875
Pd2 0.9061 0.0718 0.8125
Pt1 0.2864 0.8521 0.5739
Pt2 0.3296 0.3630 0.6589
Pt3 0.4805 0.7420 0.9594
Pt4 0.5195 0.2580 0.0406
Pt5 0.6704 0.6370 0.3411
Pt6 0.7136 0.1479 0.4261

Largest 6 diffraction maxima, by angle, 5° ≤ 2θ ≤ 70°:
2theta  d (Å)  I_rel
23.67  3.759  18
38.79  2.321  28
38.91  2.315  28
39.67  2.272  100
41.10  2.196  14
46.65  1.947  26

***

No. 2
Structure and calculated powder diffraction line list of Pu2As4Pd3Pt (a crystal structure in Alexandria, relaxed with GGA-PBE; Cu Kα, 1.54184 Å).
No peak broadening, texture or thermal motion is included.

Cell and atoms:
Lattice parameters (Å, degrees): 4.4426 4.4426 9.7997 90.00 90.00 90.00
Sites, in units of the cell vectors:
Pu1 0.0000 0.5000 0.2447
Pu2 0.5000 0.0000 0.7553
As1 0.0000 0.0000 0.0000
As2 0.0000 0.5000 0.6326
As3 0.5000 0.0000 0.3674
As4 0.5000 0.5000 0.0000
Pd1 0.0000 0.5000 0.8798
Pd2 0.5000 0.0000 0.1202
Pd3 0.5000 0.5000 0.5000
Pt1 0.0000 0.0000 0.5000

Largest 6 diffraction maxima, by angle, 5° ≤ 2θ ≤ 70°:
2theta  d (Å)  I_rel
33.90  2.645  100
34.07  2.632  62
40.62  2.221  60
54.02  1.697  34
58.79  1.571  20
69.62  1.350  25

***

No. 3
Structure and calculated powder diffraction line list of PuAsPd2 (a crystal structure in Alexandria, relaxed with GGA-PBE; Cu Kα, 1.54184 Å).
No peak broadening, texture or thermal motion is included.

Cell and atoms:
Lattice parameters (Å, degrees): 3.9583 3.9583 9.8534 90.00 90.00 90.00
Sites, in units of the cell vectors:
Pu1 0.2500 0.2500 0.2264
Pu2 0.7500 0.7500 0.7736
As1 0.2500 0.2500 0.6708
As2 0.7500 0.7500 0.3292
Pd1 0.2500 0.2500 0.9332
Pd2 0.2500 0.7500 0.5000
Pd3 0.7500 0.2500 0.5000
Pd4 0.7500 0.7500 0.0668

Largest 6 diffraction maxima, by angle, 5° ≤ 2θ ≤ 70°:
2theta  d (Å)  I_rel
31.98  2.799  67
33.28  2.692  53
35.52  2.528  100
36.94  2.434  86
43.26  2.091  58
45.85  1.979  72